Simulated powder X-ray diffraction pattern of LiLaP2Pt7 for a wavelength of 1.5418 Å, from a structure optimized by DFT (GGA-PBE).
Neutral-atom scattering factors, no anomalous dispersion.

Structure:
abc: 12.725 12.725 12.725
angles: 161.21 161.21 26.70
Fractional coordinates of all 11 atoms:
1 Li 0.000 0.000 0.000
2 La 0.250 0.750 0.500
3 P 0.611 0.111 0.500
4 P 0.889 0.389 0.500
5 Pt 0.158 0.158 0.000
6 Pt 0.341 0.341 0.000
7 Pt 0.523 0.023 0.500
8 Pt 0.659 0.659 0.000
9 Pt 0.750 0.250 0.500
10 Pt 0.842 0.842 0.000
11 Pt 0.977 0.477 0.500

The 10 most intense peaks (2θ = 15–90°), sorted by position:
d = 4.127 Å, I = 24; d = 2.859 Å, I = 13; d = 2.654 Å, I = 100; d = 2.476 Å, I = 14; d = 2.394 Å, I = 45; d = 2.131 Å, I = 16; d = 2.078 Å, I = 49; d = 1.592 Å, I = 15; d = 1.469 Å, I = 16; d = 1.285 Å, I = 22

Simulated powder X-ray diffraction pattern of LiLaPaS4 for a wavelength of 1.5418 Å, from a structure optimized by DFT (GGA-PBE).
Neutral-atom scattering factors, no anomalous dispersion.

Structure:
abc: 7.631 7.631 7.631
angles: 111.28 106.57 110.60
Fractional coordinates of all 14 atoms:
1 Li 0.000 0.000 0.000
2 Li 0.500 0.000 0.500
3 La 0.412 0.662 0.750
4 La 0.588 0.338 0.250
5 Pa 0.000 0.000 0.500
6 Pa 0.000 0.500 0.000
7 S 0.142 0.707 0.435
8 S 0.228 0.293 0.935
9 S 0.301 0.242 0.440
10 S 0.301 0.861 0.060
11 S 0.699 0.139 0.940
12 S 0.699 0.758 0.560
13 S 0.772 0.707 0.065
14 S 0.858 0.293 0.565

The 10 most intense peaks (2θ = 15–90°), sorted by position:
d = 4.562 Å, I = 74; d = 4.344 Å, I = 37; d = 3.554 Å, I = 100; d = 3.146 Å, I = 16; d = 2.760 Å, I = 28; d = 2.389 Å, I = 66; d = 2.324 Å, I = 20; d = 2.281 Å, I = 16; d = 1.886 Å, I = 17; d = 1.785 Å, I = 21